Record 1
The following is a theoretical XRD peak list of CdAsH. It was derived from a DFT-relaxed cell (PBE, Alexandria), using Cu Kα (weighted mean of Kα1 and Kα2).

Crystal structure
Unit cell a=9.849 b=9.849 c=4.903 alpha=90.00 beta=90.00 gamma=90.00
Space group P4_2/mbc (No. 135)
Asymmetric unit:
Cd 0.094 0.269 0.000 [8 per cell]
As 0.025 0.757 0.500 [8 per cell]
H 0.048 0.105 0.500 [8 per cell]

Main lines, low angle first (2θ = 10–80°):
4.404 Å, 2θ 20.16, I 63, hkl 2 1 0
3.482 Å, 2θ 25.58, I 100, hkl 2 2 0
3.277 Å, 2θ 27.22, I 85, hkl 2 1 1
2.452 Å, 2θ 36.65, I 55, hkl 0 0 2
2.386 Å, 2θ 37.70, I 60, hkl 3 2 1
2.201 Å, 2θ 41.01, I 48, hkl 4 0 1
2.147 Å, 2θ 42.08, I 46, hkl 4 1 1
2.009 Å, 2θ 45.13, I 49, hkl 4 2 1
2.005 Å, 2θ 45.23, I 42, hkl 2 2 2
1.316 Å, 2θ 71.74, I 27, hkl 6 4 1

=====

Record 2
The following is a theoretical XRD peak list of PaFe3C. It was derived from a DFT-relaxed cell (PBE, Alexandria), using Cu Kα (weighted mean of Kα1 and Kα2).

Crystal structure
Unit cell a=3.921 b=3.921 c=3.921 alpha=90.00 beta=90.00 gamma=90.00
Space group Pm-3m (No. 221)
Asymmetric unit:
Pa 0.000 0.000 0.000 [1 per cell]
Fe 0.000 0.500 0.500 [3 per cell]
C 0.500 0.500 0.500 [1 per cell]

Main lines, low angle first (2θ = 10–80°):
3.921 Å, 2θ 22.68, I 47, hkl 1 0 0
2.773 Å, 2θ 32.29, I 54, hkl 1 1 0
2.264 Å, 2θ 39.82, I 100, hkl 1 1 1
1.961 Å, 2θ 46.31, I 53, hkl 2 0 0
1.754 Å, 2θ 52.16, I 24, hkl 2 1 0
1.601 Å, 2θ 57.57, I 22, hkl 2 1 1
1.386 Å, 2θ 67.57, I 33, hkl 2 2 0
1.307 Å, 2θ 72.28, I 12, hkl 3 0 0
1.240 Å, 2θ 76.88, I 10, hkl 3 1 0

=====

Record 3
The following is a theoretical XRD peak list of OsPbBr6. It was derived from a DFT-relaxed cell (PBE, Alexandria), using Cu Kα (weighted mean of Kα1 and Kα2).

Crystal structure
Unit cell a=11.414 b=8.391 c=10.704 alpha=90.00 beta=90.56 gamma=90.00
Space group C2/c (No. 15)
Asymmetric unit:
Os 0.250 0.250 0.000 [4 per cell]
Pb 0.000 0.011 0.250 [4 per cell]
Br 0.068 0.333 0.106 [8 per cell]
Br 0.154 0.291 0.792 [8 per cell]
Br 0.172 0.031 0.500 [8 per cell]

Main lines, low angle first (2θ = 10–80°):
6.761 Å, 2θ 13.10, I 39, hkl 1 1 0
5.715 Å, 2θ 15.50, I 100, hkl 1 1 1
3.923 Å, 2θ 22.67, I 24, hkl 2 0 -2
3.885 Å, 2θ 22.89, I 35, hkl 2 0 2
3.380 Å, 2θ 26.37, I 22, hkl 2 2 0
3.304 Å, 2θ 26.98, I 19, hkl 3 1 -1
2.920 Å, 2θ 30.61, I 39, hkl 3 1 -2
2.717 Å, 2θ 32.97, I 39, hkl 1 3 0
2.634 Å, 2θ 34.04, I 25, hkl 1 3 -1
2.165 Å, 2θ 41.73, I 41, hkl 4 2 -2

=====

Record 4
The following is a theoretical XRD peak list of Rb2UGaSe4. It was derived from a DFT-relaxed cell (PBE, Alexandria), using Cu Kα (weighted mean of Kα1 and Kα2).

Crystal structure
Unit cell a=6.391 b=14.828 c=26.063 alpha=90.00 beta=90.00 gamma=90.00
Space group Fddd (No. 70, origin choice 2)
Asymmetric unit:
Rb 0.125 0.125 0.306 [16 per cell]
U 0.125 0.125 0.125 [8 per cell]
Ga 0.125 0.125 0.625 [8 per cell]
Se 0.094 0.272 0.821 [32 per cell]

Main lines, low angle first (2θ = 10–80°):
6.516 Å, 2θ 13.59, I 92, hkl 0 0 4
6.444 Å, 2θ 13.74, I 100, hkl 0 2 2
3.867 Å, 2θ 23.00, I 57, hkl 1 3 1
3.748 Å, 2θ 23.74, I 75, hkl 0 2 6
3.128 Å, 2θ 28.54, I 97, hkl 1 3 5
2.935 Å, 2θ 30.46, I 37, hkl 2 2 0
2.676 Å, 2θ 33.49, I 40, hkl 2 2 4
2.574 Å, 2θ 34.85, I 56, hkl 2 0 6
2.380 Å, 2θ 37.80, I 39, hkl 2 4 2
1.955 Å, 2θ 46.45, I 37, hkl 2 6 0

=====

Record 5
The following is a theoretical XRD peak list of TmMg7Sn4. It was derived from a DFT-relaxed cell (PBE, Alexandria), using Cu Kα (weighted mean of Kα1 and Kα2).

Crystal structure
Unit cell a=12.449 b=5.709 c=10.614 alpha=90.00 beta=124.17 gamma=90.00
Space group C2/m (No. 12)
Asymmetric unit:
Tm 0.000 0.000 0.000 [2 per cell]
Mg 0.000 0.500 0.000 [2 per cell]
Mg 0.081 0.000 0.419 [4 per cell]
Mg 0.186 0.500 0.902 [4 per cell]
Mg 0.208 0.500 0.643 [4 per cell]
Sn 0.100 0.500 0.318 [4 per cell]
Sn 0.205 0.000 0.773 [4 per cell]

Main lines, low angle first (2θ = 10–80°):
3.908 Å, 2θ 22.76, I 100, hkl 1 1 1
3.859 Å, 2θ 23.04, I 27, hkl 1 1 -2
3.281 Å, 2θ 27.18, I 67, hkl 3 1 -2
2.960 Å, 2θ 30.19, I 62, hkl 4 0 -1
2.854 Å, 2θ 31.34, I 74, hkl 0 2 0
2.680 Å, 2θ 33.43, I 33, hkl 2 0 2
2.397 Å, 2θ 37.52, I 34, hkl 3 1 -4
2.270 Å, 2θ 39.70, I 34, hkl 1 1 3
2.055 Å, 2θ 44.07, I 45, hkl 4 2 -1
1.954 Å, 2θ 46.48, I 27, hkl 2 2 2

=====

Record 6
The following is a theoretical XRD peak list of Cs2Be2HgI6. It was derived from a DFT-relaxed cell (PBE, Alexandria), using Cu Kα (weighted mean of Kα1 and Kα2).

Crystal structure
Unit cell a=7.607 b=8.709 c=10.639 alpha=89.98 beta=69.43 gamma=78.59
Space group P-1 (No. 2)
Asymmetric unit:
Cs 0.216 0.299 0.198 [2 per cell]
Be 0.309 0.350 0.760 [2 per cell]
Hg 0.000 0.000 0.500 [1 per cell]
I 0.214 0.373 0.576 [2 per cell]
I 0.277 0.578 0.887 [2 per cell]
I 0.409 0.108 0.829 [2 per cell]

Main lines, low angle first (2θ = 10–80°):
6.051 Å, 2θ 14.64, I 47, hkl 1 1 0
4.921 Å, 2θ 18.03, I 89, hkl 1 0 -1
4.440 Å, 2θ 20.00, I 33, hkl 1 1 2
3.569 Å, 2θ 24.95, I 50, hkl 1 2 -1
3.492 Å, 2θ 25.51, I 49, hkl 2 1 0
3.433 Å, 2θ 25.96, I 54, hkl 2 1 2
3.311 Å, 2θ 26.93, I 52, hkl 0 0 3
3.222 Å, 2θ 27.69, I 43, hkl 1 -1 3
3.118 Å, 2θ 28.63, I 100, hkl 0 2 2
3.007 Å, 2θ 29.71, I 36, hkl 2 -1 0

=====

Record 7
The following is a theoretical XRD peak list of Tb5PrTm7. It was derived from a DFT-relaxed cell (PBE, Alexandria), using Cu Kα (weighted mean of Kα1 and Kα2).

Crystal structure
Unit cell a=6.664 b=10.997 c=11.503 alpha=90.00 beta=90.00 gamma=90.00
Space group Imm2 (No. 44)
Asymmetric unit:
Tb 0.000 0.000 0.000 [2 per cell]
Tb 0.232 0.271 0.004 [8 per cell]
Pr 0.000 0.500 0.801 [2 per cell]
Tm 0.000 0.000 0.504 [2 per cell]
Tm 0.000 0.168 0.751 [4 per cell]
Tm 0.000 0.169 0.254 [4 per cell]
Tm 0.000 0.500 0.193 [2 per cell]
Tm 0.000 0.500 0.497 [2 per cell]

Main lines, low angle first (2θ = 10–80°):
3.330 Å, 2θ 26.77, I 26, hkl 2 0 0
3.212 Å, 2θ 27.78, I 30, hkl 1 3 0
2.879 Å, 2θ 31.07, I 100, hkl 0 0 4
2.848 Å, 2θ 31.41, I 57, hkl 2 2 0
2.804 Å, 2θ 31.91, I 80, hkl 1 3 2
2.553 Å, 2θ 35.15, I 78, hkl 2 2 2
2.481 Å, 2θ 36.21, I 29, hkl 0 4 2
1.606 Å, 2θ 57.38, I 26, hkl 2 6 0
1.591 Å, 2θ 57.98, I 32, hkl 2 2 6
1.402 Å, 2θ 66.71, I 22, hkl 2 6 4

=====

Record 8
The following is a theoretical XRD peak list of Zn3Cu2Ir. It was derived from a DFT-relaxed cell (PBE, Alexandria), using Cu Kα (weighted mean of Kα1 and Kα2).

Crystal structure
Unit cell a=5.309 b=13.128 c=4.810 alpha=90.00 beta=90.00 gamma=90.00
Space group Cmcm (No. 63)
Asymmetric unit:
Zn 0.000 0.141 0.250 [4 per cell]
Zn 0.245 0.323 0.250 [8 per cell]
Cu 0.246 0.500 0.000 [8 per cell]
Ir 0.000 0.350 0.750 [4 per cell]

Main lines, low angle first (2θ = 10–80°):
3.880 Å, 2θ 22.92, I 23, hkl 0 2 1
3.440 Å, 2θ 25.90, I 16, hkl 1 1 1
3.377 Å, 2θ 26.39, I 12, hkl 1 3 0
2.405 Å, 2θ 37.40, I 12, hkl 0 0 2
2.258 Å, 2θ 39.93, I 26, hkl 0 2 2
2.190 Å, 2θ 41.22, I 100, hkl 0 6 0
2.064 Å, 2θ 43.87, I 23, hkl 2 4 0
1.940 Å, 2θ 46.83, I 29, hkl 0 4 2
1.897 Å, 2θ 47.97, I 26, hkl 2 4 1
1.343 Å, 2θ 70.05, I 14, hkl 2 2 3

=====

- What is the formula in the sixth record?
  Cs2Be2HgI6

=====

- What is the formula in the fourth record?
  Rb2UGaSe4